# Pr2Mo4O15
Calculated X-ray powder pattern, Cu Kα (weighted mean of Kα1 and Kα2). Input: a GGA+U-relaxed structure.

Top 10 peaks for 10° ≤ 2θ ≤ 80°, low angle first:
2theta, I (rel.)
22.34, 100
23.89, 35
24.28, 65
24.38, 29
25.16, 63
26.30, 39
27.57, 27
28.01, 27
28.63, 39
29.57, 32

Cell and atoms:
```
Pr2Mo4O15
1.0
7.525 0.000 0.000
0.745 7.638 0.000
1.276 0.149 11.938
Pr Mo O
4 8 30
direct
0.180 0.090 0.223 Pr
0.257 0.590 0.778 Pr
0.743 0.410 0.222 Pr
0.820 0.910 0.777 Pr
0.063 0.750 0.474 Mo
0.226 0.572 0.128 Mo
0.272 0.075 0.871 Mo
0.404 0.332 0.468 Mo
0.596 0.668 0.532 Mo
0.728 0.925 0.129 Mo
0.774 0.428 0.872 Mo
0.937 0.250 0.526 Mo
0.073 0.407 0.180 O
0.084 0.739 0.622 O
0.122 0.948 0.405 O
0.147 0.908 0.815 O
0.163 0.783 0.187 O
0.168 0.287 0.553 O
0.203 0.572 0.413 O
0.208 0.100 0.017 O
0.223 0.597 0.980 O
0.235 0.285 0.805 O
0.367 0.235 0.339 O
0.417 0.521 0.597 O
0.447 0.492 0.157 O
0.466 0.829 0.469 O
0.496 0.002 0.153 O
0.504 0.998 0.847 O
0.534 0.171 0.531 O
0.553 0.508 0.843 O
0.583 0.479 0.403 O
0.633 0.765 0.661 O
0.765 0.715 0.195 O
0.777 0.403 0.020 O
0.792 0.900 0.983 O
0.797 0.428 0.587 O
0.832 0.713 0.447 O
0.837 0.217 0.813 O
0.853 0.092 0.185 O
0.878 0.052 0.595 O
0.916 0.261 0.378 O
0.927 0.593 0.820 O
```



# RbPrMo2O8
Calculated X-ray powder pattern, Cu Kα (weighted mean of Kα1 and Kα2). Input: a GGA+U-relaxed structure.

Top 10 peaks for 10° ≤ 2θ ≤ 80°, low angle first:
2theta, I (rel.)
16.47, 10
26.75, 100
27.63, 36
39.47, 15
46.69, 24
48.32, 35
55.11, 13
64.54, 9
74.64, 11
77.95, 9

Cell and atoms:
```
RbPrMo2O8
1.0
6.457 0.000 0.000
0.000 6.457 0.000
0.000 0.000 9.752
Rb Pr Mo O
2 2 4 16
direct
0.250 0.250 0.250 Rb
0.750 0.750 0.750 Rb
0.250 0.250 0.750 Pr
0.750 0.750 0.250 Pr
0.250 0.750 0.000 Mo
0.250 0.750 0.500 Mo
0.750 0.250 0.000 Mo
0.750 0.250 0.500 Mo
0.054 0.641 0.108 O
0.054 0.859 0.392 O
0.141 0.554 0.608 O
0.141 0.946 0.892 O
0.359 0.554 0.892 O
0.359 0.946 0.608 O
0.446 0.641 0.392 O
0.446 0.859 0.108 O
0.554 0.141 0.892 O
0.554 0.359 0.608 O
0.641 0.054 0.392 O
0.641 0.446 0.108 O
0.859 0.054 0.108 O
0.859 0.446 0.392 O
0.946 0.141 0.608 O
0.946 0.359 0.892 O
```



# PrSbMo2O9
Calculated X-ray powder pattern, Cu Kα (weighted mean of Kα1 and Kα2). Input: a GGA+U-relaxed structure.

Top 10 peaks for 10° ≤ 2θ ≤ 80°, low angle first:
2theta, I (rel.)
15.39, 31
22.71, 89
23.89, 30
24.37, 80
25.82, 95
26.84, 100
27.01, 69
27.73, 64
46.02, 72
47.01, 42

Cell and atoms:
```
PrSbMo2O9
1.0
6.655 -7.360 0.000
6.655 7.360 0.000
-6.105 0.000 9.250
Pr Sb Mo O
4 4 8 36
direct
0.124 0.876 0.750 Pr
0.325 0.675 0.250 Pr
0.675 0.325 0.750 Pr
0.876 0.124 0.250 Pr
0.353 0.380 0.463 Sb
0.380 0.353 0.963 Sb
0.620 0.647 0.037 Sb
0.647 0.620 0.537 Sb
0.049 0.260 0.028 Mo
0.063 0.435 0.697 Mo
0.260 0.049 0.528 Mo
0.435 0.063 0.197 Mo
0.565 0.937 0.803 Mo
0.740 0.951 0.472 Mo
0.937 0.565 0.303 Mo
0.951 0.740 0.972 Mo
0.014 0.694 0.488 O
0.053 0.228 0.179 O
0.061 0.096 0.901 O
0.085 0.557 0.247 O
0.096 0.061 0.401 O
0.124 0.702 0.059 O
0.143 0.617 0.723 O
0.214 0.373 0.803 O
0.219 0.403 0.075 O
0.228 0.053 0.679 O
0.298 0.876 0.441 O
0.306 0.986 0.012 O
0.373 0.214 0.303 O
0.383 0.857 0.777 O
0.403 0.219 0.575 O
0.425 0.540 0.401 O
0.443 0.915 0.253 O
0.460 0.575 0.099 O
0.540 0.425 0.901 O
0.557 0.085 0.747 O
0.575 0.460 0.599 O
0.597 0.781 0.425 O
0.617 0.143 0.223 O
0.627 0.786 0.697 O
0.694 0.014 0.988 O
0.702 0.124 0.559 O
0.772 0.947 0.321 O
0.781 0.597 0.925 O
0.786 0.627 0.197 O
0.857 0.383 0.277 O
0.876 0.298 0.941 O
0.904 0.939 0.599 O
0.915 0.443 0.753 O
0.939 0.904 0.099 O
0.947 0.772 0.821 O
0.986 0.306 0.512 O
```



# Pr2TeMo6O46
Calculated X-ray powder pattern, Cu Kα (weighted mean of Kα1 and Kα2). Input: a GGA+U-relaxed structure.

Top 10 peaks for 10° ≤ 2θ ≤ 80°, low angle first:
2theta, I (rel.)
10.49, 52
11.86, 38
12.75, 100
18.79, 78
21.06, 29
23.54, 64
24.99, 68
26.82, 48
31.75, 52
32.18, 36

Cell and atoms:
```
Pr2TeMo6O46
1.0
8.936 0.000 0.000
3.234 9.294 0.000
1.235 2.514 11.666
Pr Te Mo O
2 1 6 46
direct
0.247 0.252 0.333 Pr
0.753 0.748 0.667 Pr
0.500 0.500 0.500 Te
0.202 0.726 0.617 Mo
0.257 0.830 0.327 Mo
0.405 0.408 0.791 Mo
0.595 0.592 0.209 Mo
0.743 0.170 0.673 Mo
0.798 0.274 0.383 Mo
0.018 0.687 0.669 O
0.123 0.855 0.935 O
0.124 0.301 0.627 O
0.132 0.772 0.455 O
0.140 0.851 0.216 O
0.152 0.728 0.987 O
0.168 0.405 0.109 O
0.175 0.293 0.075 O
0.176 0.904 0.629 O
0.203 0.218 0.565 O
0.240 0.362 0.851 O
0.249 0.014 0.335 O
0.281 0.460 0.348 O
0.326 0.478 0.601 O
0.328 0.626 0.748 O
0.348 0.956 0.912 O
0.365 0.557 0.351 O
0.419 0.707 0.507 O
0.420 0.942 0.817 O
0.467 0.769 0.264 O
0.474 0.192 0.185 O
0.481 0.606 0.096 O
0.498 0.947 0.540 O
0.502 0.053 0.460 O
0.519 0.394 0.904 O
0.526 0.808 0.815 O
0.533 0.231 0.736 O
0.580 0.058 0.183 O
0.581 0.293 0.493 O
0.635 0.443 0.649 O
0.652 0.044 0.088 O
0.672 0.374 0.252 O
0.674 0.522 0.399 O
0.719 0.540 0.652 O
0.751 0.986 0.665 O
0.760 0.638 0.149 O
0.797 0.782 0.435 O
0.824 0.096 0.371 O
0.825 0.707 0.925 O
0.832 0.595 0.891 O
0.848 0.272 0.013 O
0.860 0.149 0.784 O
0.868 0.228 0.545 O
0.876 0.699 0.373 O
0.877 0.145 0.065 O
0.982 0.313 0.331 O
```